No. 1
For Sm4CdIn2Ga, a cell relaxed with PBE gives the theoretical PXRD pattern in this record (Cu Kα).
No peak broadening, texture or thermal motion is included.

The 10 most intense peaks (10 to 90 degrees two-theta), low angle first:
d (Å)  2θ/deg  Rel. int.
3.787  23.49  7
2.682  33.41  100
2.673  33.53  95
1.893  48.06  34
1.547  59.77  54
1.542  60.01  15
1.341  70.18  11
1.336  70.45  9
1.199  80.06  15
1.196  80.25  13

Crystal structure
```
Sm4CdIn2Ga
1.0
2.682 1.548 8.715
-2.682 1.548 8.715
0.000 -3.097 8.715
Sm Cd In Ga
4 1 2 1
direct
0.120 0.120 0.120
0.371 0.371 0.371
0.629 0.629 0.629
0.880 0.880 0.880
0.500 0.500 0.500
0.245 0.245 0.245
0.755 0.755 0.755
0.000 0.000 0.000
```

---

No. 2
For Rb2LaRuI6, a cell relaxed with PBE gives the theoretical PXRD pattern in this record (Cu Kα).
No peak broadening, texture or thermal motion is included.

The 10 most intense peaks (10 to 90 degrees two-theta), low angle first:
d (Å)  2θ/deg  Rel. int.
5.933  14.93  43
3.426  26.01  67
2.967  30.12  100
2.653  33.78  21
2.098  43.12  72
1.789  51.05  27
1.713  53.50  24
1.483  62.63  11
1.327  71.05  29
1.211  79.07  21

Crystal structure
```
Rb2LaRuI6
1.0
0.000 5.933 5.933
5.933 0.000 5.933
5.933 5.933 0.000
Rb La Ru I
2 1 1 6
direct
0.250 0.250 0.250
0.750 0.750 0.750
0.000 0.000 0.000
0.500 0.500 0.500
0.265 0.265 0.735
0.265 0.735 0.265
0.265 0.735 0.735
0.735 0.265 0.265
0.735 0.265 0.735
0.735 0.735 0.265
```

---

Copy entry 1 word for word.
For Sm4CdIn2Ga, a cell relaxed with PBE gives the theoretical PXRD pattern in this record (Cu Kα).
No peak broadening, texture or thermal motion is included.

The 10 most intense peaks (10 to 90 degrees two-theta), low angle first:
d (Å)  2θ/deg  Rel. int.
3.787  23.49  7
2.682  33.41  100
2.673  33.53  95
1.893  48.06  34
1.547  59.77  54
1.542  60.01  15
1.341  70.18  11
1.336  70.45  9
1.199  80.06  15
1.196  80.25  13

Crystal structure
```
Sm4CdIn2Ga
1.0
2.682 1.548 8.715
-2.682 1.548 8.715
0.000 -3.097 8.715
Sm Cd In Ga
4 1 2 1
direct
0.120 0.120 0.120
0.371 0.371 0.371
0.629 0.629 0.629
0.880 0.880 0.880
0.500 0.500 0.500
0.245 0.245 0.245
0.755 0.755 0.755
0.000 0.000 0.000
```